# 1
This entry pairs a crystal structure of Rb4U3PaO12 with its calculated XRD peak list. Radiation: Cu Kα (weighted mean of Kα1 and Kα2). Structure: a GGA-PBE-relaxed structure.
Intensities are scaled so that the largest is 100.

Crystal structure
Cell: 7.573 7.573 7.573 Å, 109.47 109.47 109.47°
Element x y z (fractional)
Rb: 0.000 0.000 0.500
Rb: 0.000 0.500 0.000
Rb: 0.500 0.000 0.000
Rb: 0.500 0.500 0.500
U: 0.000 0.500 0.500
U: 0.500 0.000 0.500
U: 0.500 0.500 0.000
Pa: 0.000 0.000 0.000
O: 0.000 0.251 0.251
O: 0.000 0.749 0.749
O: 0.250 0.500 0.750
O: 0.250 0.750 0.500
O: 0.251 0.000 0.251
O: 0.251 0.251 0.000
O: 0.500 0.250 0.750
O: 0.500 0.750 0.250
O: 0.749 0.000 0.749
O: 0.749 0.749 0.000
O: 0.750 0.250 0.500
O: 0.750 0.500 0.250

Principal peaks in the range 10 to 90 degrees two-theta, by angle:
d 4.372, I = 32
d 3.092, I = 100
d 2.524, I = 4
d 2.186, I = 29
d 1.955, I = 16
d 1.785, I = 43
d 1.546, I = 19
d 1.457, I = 8
d 1.383, I = 19
d 1.262, I = 6
d 1.213, I = 4
d 1.169, I = 23

---

# 2
This entry pairs a crystal structure of Zn4GePd7 with its calculated XRD peak list. Radiation: Cu Kα (weighted mean of Kα1 and Kα2). Structure: a GGA-PBE-relaxed structure.
Intensities are scaled so that the largest is 100.

Crystal structure
Cell: 6.268 6.268 8.973 Å, 122.00 122.00 43.07°
Element x y z (fractional)
Zn: 0.075 0.075 0.277
Zn: 0.222 0.222 0.840
Zn: 0.778 0.778 0.160
Zn: 0.925 0.925 0.723
Ge: 0.500 0.500 0.500
Pd: 0.000 0.000 0.500
Pd: 0.142 0.142 0.059
Pd: 0.287 0.287 0.615
Pd: 0.425 0.425 0.184
Pd: 0.575 0.575 0.816
Pd: 0.713 0.713 0.385
Pd: 0.858 0.858 0.941

Principal peaks in the range 10 to 90 degrees two-theta, by angle:
d 3.171, I = 44
d 2.794, I = 34
d 2.615, I = 27
d 2.301, I = 81
d 2.188, I = 53
d 2.172, I = 100
d 2.028, I = 68
d 1.776, I = 18
d 1.586, I = 38
d 1.397, I = 17
d 1.302, I = 18
d 1.194, I = 20

---

# 3
This entry pairs a crystal structure of Li15Pd with its calculated XRD peak list. Radiation: Cu Kα (weighted mean of Kα1 and Kα2). Structure: a GGA-PBE-relaxed structure.
Intensities are scaled so that the largest is 100.

Crystal structure
Cell: 5.949 5.949 9.574 Å, 90.00 90.00 120.00°
Element x y z (fractional)
Li: 0.000 0.000 0.000
Li: 0.005 0.503 0.500
Li: 0.319 0.159 0.267
Li: 0.319 0.159 0.733
Li: 0.333 0.667 0.241
Li: 0.333 0.667 0.759
Li: 0.497 0.503 0.500
Li: 0.497 0.995 0.500
Li: 0.503 0.007 0.000
Li: 0.503 0.497 0.000
Li: 0.841 0.159 0.267
Li: 0.841 0.159 0.733
Li: 0.841 0.681 0.267
Li: 0.841 0.681 0.733
Li: 0.993 0.497 0.000
Pd: 0.000 0.000 0.500

Principal peaks in the range 10 to 90 degrees two-theta, by angle:
d 5.152, I = 68
d 4.787, I = 19
d 4.537, I = 100
d 3.507, I = 50
d 2.975, I = 17
d 2.841, I = 29
d 2.713, I = 25
d 2.576, I = 18
d 2.526, I = 21
d 2.488, I = 20
d 2.268, I = 41
d 1.908, I = 19

---

# 4
This entry pairs a crystal structure of NbFe with its calculated XRD peak list. Radiation: Cu Kα (weighted mean of Kα1 and Kα2). Structure: a GGA-PBE-relaxed structure.
Intensities are scaled so that the largest is 100.

Crystal structure
Cell: 2.648 5.438 8.452 Å, 90.00 90.00 90.00°
Element x y z (fractional)
Nb: 0.000 0.000 0.000
Nb: 0.000 0.500 0.500
Nb: 0.500 0.000 0.500
Nb: 0.500 0.500 0.000
Fe: 0.250 0.250 0.750
Fe: 0.250 0.750 0.250
Fe: 0.750 0.250 0.250
Fe: 0.750 0.750 0.750

Principal peaks in the range 10 to 90 degrees two-theta, by angle:
d 4.226, I = 7
d 2.289, I = 100
d 2.113, I = 19
d 1.818, I = 25
d 1.473, I = 12
d 1.378, I = 10
d 1.321, I = 8
d 1.263, I = 7
d 1.251, I = 6
d 1.190, I = 5
d 1.143, I = 5
d 1.120, I = 5

---

# 5
This entry pairs a crystal structure of K4Pt with its calculated XRD peak list. Radiation: Cu Kα (weighted mean of Kα1 and Kα2). Structure: a GGA-PBE-relaxed structure.
Intensities are scaled so that the largest is 100.

Crystal structure
Cell: 9.093 9.093 5.961 Å, 90.00 90.00 90.00°
Element x y z (fractional)
K: 0.138 0.299 0.000
K: 0.138 0.701 0.500
K: 0.299 0.138 0.500
K: 0.299 0.862 0.000
K: 0.701 0.138 0.000
K: 0.701 0.862 0.500
K: 0.862 0.299 0.500
K: 0.862 0.701 0.000
Pt: 0.000 0.000 0.250
Pt: 0.000 0.000 0.750

Principal peaks in the range 10 to 90 degrees two-theta, by angle:
d 6.430, I = 100
d 4.067, I = 65
d 3.359, I = 49
d 3.215, I = 37
d 2.876, I = 79
d 2.832, I = 31
d 2.704, I = 51
d 2.522, I = 47
d 2.493, I = 60
d 2.404, I = 77
d 2.205, I = 31
d 1.552, I = 44

---

# 6
This entry pairs a crystal structure of PmTmCu2 with its calculated XRD peak list. Radiation: Cu Kα (weighted mean of Kα1 and Kα2). Structure: a GGA-PBE-relaxed structure.
Intensities are scaled so that the largest is 100.

Crystal structure
Cell: 6.994 6.994 6.994 Å, 90.00 90.00 90.00°
Element x y z (fractional)
Pm: 0.000 0.000 0.000
Pm: 0.000 0.500 0.500
Pm: 0.500 0.000 0.500
Pm: 0.500 0.500 0.000
Tm: 0.000 0.000 0.500
Tm: 0.000 0.500 0.000
Tm: 0.500 0.000 0.000
Tm: 0.500 0.500 0.500
Cu: 0.250 0.250 0.250
Cu: 0.250 0.250 0.750
Cu: 0.250 0.750 0.250
Cu: 0.250 0.750 0.750
Cu: 0.750 0.250 0.250
Cu: 0.750 0.250 0.750
Cu: 0.750 0.750 0.250
Cu: 0.750 0.750 0.750

Principal peaks in the range 10 to 90 degrees two-theta, by angle:
d 3.497, I = 19
d 2.473, I = 100
d 2.019, I = 6
d 1.749, I = 17
d 1.564, I = 8
d 1.428, I = 35
d 1.236, I = 11
d 1.166, I = 4
d 1.106, I = 16

---

# 7
This entry pairs a crystal structure of La4Pr4Tm3 with its calculated XRD peak list. Radiation: Cu Kα (weighted mean of Kα1 and Kα2). Structure: a GGA-PBE-relaxed structure.
Intensities are scaled so that the largest is 100.

Crystal structure
Cell: 3.598 5.831 18.551 Å, 98.55 95.55 90.01°
Element x y z (fractional)
La: 0.047 0.068 0.095
La: 0.178 0.682 0.357
La: 0.822 0.318 0.643
La: 0.953 0.932 0.905
Pr: 0.088 0.603 0.178
Pr: 0.232 0.233 0.464
Pr: 0.768 0.767 0.536
Pr: 0.912 0.397 0.822
Tm: 0.365 0.857 0.728
Tm: 0.500 0.500 0.000
Tm: 0.635 0.143 0.272

Principal peaks in the range 10 to 90 degrees two-theta, by angle:
d 2.962, I = 45
d 2.911, I = 99
d 2.897, I = 100
d 2.874, I = 50
d 2.083, I = 18
d 2.073, I = 15
d 2.016, I = 17
d 1.799, I = 13
d 1.683, I = 18
d 1.531, I = 15
d 1.528, I = 15
d 1.525, I = 15

---

# 8
This entry pairs a crystal structure of MnFe2Pd6 with its calculated XRD peak list. Radiation: Cu Kα (weighted mean of Kα1 and Kα2). Structure: a GGA-PBE-relaxed structure.
Intensities are scaled so that the largest is 100.

Crystal structure
Cell: 4.703 4.703 8.155 Å, 103.65 103.65 49.71°
Element x y z (fractional)
Mn: 0.000 0.000 0.000
Fe: 0.316 0.316 0.763
Fe: 0.684 0.684 0.237
Pd: 0.006 0.006 0.320
Pd: 0.334 0.334 0.441
Pd: 0.340 0.340 0.102
Pd: 0.660 0.660 0.898
Pd: 0.666 0.666 0.559
Pd: 0.994 0.994 0.680

Principal peaks in the range 10 to 90 degrees two-theta, by angle:
d 2.256, I = 100
d 2.237, I = 96
d 1.991, I = 34
d 1.977, I = 34
d 1.875, I = 27
d 1.403, I = 21
d 1.360, I = 18
d 1.197, I = 11
d 1.189, I = 23
d 1.185, I = 12
d 1.145, I = 9
d 1.128, I = 10

---

# 9
This entry pairs a crystal structure of Na6MnS4 with its calculated XRD peak list. Radiation: Cu Kα (weighted mean of Kα1 and Kα2). Structure: a GGA-PBE-relaxed structure.
Intensities are scaled so that the largest is 100.

Crystal structure
Cell: 8.998 8.998 6.973 Å, 90.00 90.00 120.00°
Element x y z (fractional)
Na: 0.065 0.533 0.000
Na: 0.147 0.293 0.668
Na: 0.147 0.853 0.668
Na: 0.293 0.147 0.168
Na: 0.467 0.533 0.000
Na: 0.467 0.935 0.000
Na: 0.533 0.065 0.500
Na: 0.533 0.467 0.500
Na: 0.707 0.853 0.668
Na: 0.853 0.147 0.168
Na: 0.853 0.707 0.168
Na: 0.935 0.467 0.500
Mn: 0.333 0.667 0.383
Mn: 0.667 0.333 0.883
S: 0.187 0.374 0.275
S: 0.187 0.813 0.275
S: 0.333 0.667 0.728
S: 0.374 0.187 0.775
S: 0.626 0.813 0.275
S: 0.667 0.333 0.228
S: 0.813 0.187 0.775
S: 0.813 0.626 0.775

Principal peaks in the range 10 to 90 degrees two-theta, by angle:
d 7.793, I = 63
d 5.196, I = 47
d 3.896, I = 26
d 3.183, I = 17
d 2.756, I = 15
d 2.713, I = 74
d 2.598, I = 73
d 2.434, I = 24
d 2.250, I = 100
d 2.227, I = 23
d 1.996, I = 35
d 1.417, I = 15

---

# 10
This entry pairs a crystal structure of PaHgBr5 with its calculated XRD peak list. Radiation: Cu Kα (weighted mean of Kα1 and Kα2). Structure: a GGA-PBE-relaxed structure.
Intensities are scaled so that the largest is 100.

Crystal structure
Cell: 8.708 8.708 10.460 Å, 109.35 109.35 76.68°
Element x y z (fractional)
Pa: 0.000 0.000 0.000
Pa: 0.000 0.000 0.500
Hg: 0.488 0.512 0.750
Hg: 0.512 0.488 0.250
Br: 0.087 0.296 0.650
Br: 0.104 0.698 0.030
Br: 0.113 0.887 0.750
Br: 0.296 0.087 0.150
Br: 0.302 0.896 0.470
Br: 0.698 0.104 0.530
Br: 0.704 0.913 0.850
Br: 0.887 0.113 0.250
Br: 0.896 0.302 0.970
Br: 0.913 0.704 0.350

Principal peaks in the range 10 to 90 degrees two-theta, by angle:
d 8.141, I = 44
d 6.191, I = 71
d 5.402, I = 31
d 4.703, I = 100
d 4.070, I = 36
d 3.818, I = 24
d 2.700, I = 34
d 2.686, I = 30
d 2.351, I = 20
d 2.228, I = 21
d 2.169, I = 26
d 1.891, I = 23

---

# 11
This entry pairs a crystal structure of Ag2PF8 with its calculated XRD peak list. Radiation: Cu Kα (weighted mean of Kα1 and Kα2). Structure: a GGA-PBE-relaxed structure.
Intensities are scaled so that the largest is 100.

Crystal structure
Cell: 6.640 6.640 4.273 Å, 90.00 90.00 120.00°
Element x y z (fractional)
Ag: 0.333 0.667 0.215
Ag: 0.667 0.333 0.785
P: 0.000 0.000 0.000
F: 0.117 0.233 0.220
F: 0.117 0.883 0.220
F: 0.233 0.117 0.780
F: 0.333 0.667 0.715
F: 0.667 0.333 0.285
F: 0.767 0.883 0.220
F: 0.883 0.117 0.780
F: 0.883 0.767 0.780

Principal peaks in the range 10 to 90 degrees two-theta, by angle:
d 3.430, I = 75
d 3.320, I = 100
d 2.875, I = 14
d 2.174, I = 15
d 2.136, I = 11
d 2.003, I = 10
d 1.937, I = 43
d 1.917, I = 13
d 1.797, I = 16
d 1.715, I = 12
d 1.660, I = 14
d 1.524, I = 20

---

# 12
This entry pairs a crystal structure of TeP3 with its calculated XRD peak list. Radiation: Cu Kα (weighted mean of Kα1 and Kα2). Structure: a GGA-PBE-relaxed structure.
Intensities are scaled so that the largest is 100.

Crystal structure
Cell: 3.423 4.402 6.823 Å, 86.35 75.51 89.79°
Element x y z (fractional)
Te: 0.000 0.000 0.000
P: 0.311 0.778 0.380
P: 0.606 0.729 0.791
P: 0.744 0.041 0.511

Principal peaks in the range 10 to 90 degrees two-theta, by angle:
d 6.592, I = 50
d 4.393, I = 100
d 3.770, I = 16
d 3.551, I = 20
d 3.313, I = 28
d 3.296, I = 33
d 2.700, I = 57
d 2.629, I = 19
d 2.620, I = 19
d 2.558, I = 37
d 2.343, I = 49
d 1.650, I = 18

---

# 13
This entry pairs a crystal structure of La3SnTe2 with its calculated XRD peak list. Radiation: Cu Kα (weighted mean of Kα1 and Kα2). Structure: a GGA-PBE-relaxed structure.
Intensities are scaled so that the largest is 100.

Crystal structure
Cell: 4.637 6.512 13.804 Å, 90.00 90.00 90.00°
Element x y z (fractional)
La: 0.000 0.000 0.000
La: 0.000 0.000 0.338
La: 0.000 0.000 0.662
La: 0.500 0.500 0.162
La: 0.500 0.500 0.500
La: 0.500 0.500 0.838
Sn: 0.000 0.500 0.000
Sn: 0.500 0.000 0.500
Te: 0.000 0.500 0.332
Te: 0.000 0.500 0.668
Te: 0.500 0.000 0.168
Te: 0.500 0.000 0.832

Principal peaks in the range 10 to 90 degrees two-theta, by angle:
d 3.263, I = 100
d 2.319, I = 13
d 2.305, I = 64
d 1.889, I = 14
d 1.879, I = 14
d 1.633, I = 9
d 1.465, I = 6
d 1.460, I = 12
d 1.457, I = 18
d 1.336, I = 9
d 1.329, I = 13
d 1.153, I = 6